Structure and simulated powder XRD pattern of NdEu3 (the GGA-PBE geometry in the Materials Project; Cu Kα (weighted mean of Kα1 and Kα2)).
Kinematic intensities with the Lorentz-polarization factor, no thermal factor.

```
data_NdEu3
_chemical_formula_sum 'Nd2 Eu6'
_cell_length_a 7.6656
_cell_length_b 7.6656
_cell_length_c 6.1831
_cell_angle_alpha 90.00
_cell_angle_beta 90.00
_cell_angle_gamma 120.00
_space_group_name_H-M_alt 'P 63/m m c'
_space_group_IT_number 194
_space_group_name_Hall '-P 6c 2c'
loop_
_atom_site_label
_atom_site_fract_x
_atom_site_fract_y
_atom_site_fract_z
_atom_site_occupancy
Nd1 0.3333 0.6667 0.2500 1
Eu1 0.1694 0.3387 0.7500 1
```

Top 12 peaks for 10° ≤ 2θ ≤ 90°, low angle first:
| 2θ (°) | I_rel | (hkl) |
| --- | --- | --- |
| 26.9 | 23 | 2 0 0 |
| 28.9 | 26 | 0 0 2 |
| 30.6 | 100 | 2 0 1 |
| 39.8 | 16 | 2 0 2 |
| 47.4 | 20 | 2 2 0 |
| 52.2 | 22 | 2 0 3 |
| 56.5 | 23 | 2 2 2 |
| 57.5 | 17 | 4 0 1 |
| 73.2 | 8 | 4 0 3 |
| 77.7 | 14 | 4 2 1 |
| 79.7 | 9 | 2 2 4 |
| 83.4 | 6 | 2 0 5 |


Structure and simulated powder XRD pattern of Y3H2 (the GGA-PBE geometry in the Materials Project; Cu Kα (weighted mean of Kα1 and Kα2)).
Kinematic intensities with the Lorentz-polarization factor, no thermal factor.

```
data_Y3H2
_chemical_formula_sum 'Y6 H4'
_cell_length_a 3.7027
_cell_length_b 3.7027
_cell_length_c 17.4347
_cell_angle_alpha 90.00
_cell_angle_beta 90.00
_cell_angle_gamma 120.00
_space_group_name_H-M_alt 'P 63/m m c'
_space_group_IT_number 194
_space_group_name_Hall '-P 6c 2c'
loop_
_atom_site_label
_atom_site_fract_x
_atom_site_fract_y
_atom_site_fract_z
_atom_site_occupancy
Y1 0.3333 0.6667 0.0882 1
Y2 0.3333 0.6667 0.7500 1
H1 0.3333 0.6667 0.6202 1
```

Top 12 peaks for 10° ≤ 2θ ≤ 90°, low angle first:
| 2θ (°) | I_rel | (hkl) |
| --- | --- | --- |
| 27.8 | 25 | 1 0 0 |
| 30.8 | 25 | 0 0 6 |
| 31.9 | 100 | 1 0 3 |
| 42.0 | 15 | 1 0 6 |
| 49.2 | 20 | 1 1 0 |
| 55.4 | 19 | 1 0 9 |
| 59.2 | 22 | 1 1 6 |
| 59.8 | 16 | 2 0 3 |
| 77.2 | 7 | 2 0 9 |
| 81.0 | 13 | 2 1 3 |
| 84.8 | 7 | 1 1 12 |
| 89.7 | 5 | 1 0 15 |


Structure and simulated powder XRD pattern of KU2F9 (the GGA-PBE geometry in the Materials Project; Cu Kα (weighted mean of Kα1 and Kα2)).
Kinematic intensities with the Lorentz-polarization factor, no thermal factor.

```
data_KU2F9
_chemical_formula_sum 'K4 U8 F36'
_cell_length_a 8.7943
_cell_length_b 11.6243
_cell_length_c 7.0516
_cell_angle_alpha 90.00
_cell_angle_beta 90.00
_cell_angle_gamma 90.00
_space_group_name_H-M_alt 'P n m a'
_space_group_IT_number 62
loop_
_space_group_symop_operation_xyz
'x,y,z'
'-x,-y,-z'
'-x+1/2,-y,z+1/2'
'x+1/2,y,-z+1/2'
'x+1/2,-y+1/2,-z+1/2'
'-x+1/2,y+1/2,z+1/2'
'-x,y+1/2,-z'
'x,-y+1/2,z'
loop_
_atom_site_label
_atom_site_fract_x
_atom_site_fract_y
_atom_site_fract_z
_atom_site_occupancy
K1 0.0303 0.2500 0.1380 1
U1 0.1761 0.0508 0.6508 1
F1 0.0059 0.5980 0.5760 1
F2 0.0721 0.5836 0.2023 1
F3 0.1678 0.2500 0.6617 1
F4 0.2016 0.0935 0.9734 1
F5 0.2175 0.6073 0.8516 1
```

Top 12 peaks for 10° ≤ 2θ ≤ 90°, low angle first:
| 2θ (°) | I_rel | (hkl) |
| --- | --- | --- |
| 15.2 | 100 | 0 2 0 |
| 20.2 | 25 | 2 0 0 |
| 23.8 | 45 | 2 0 1 |
| 25.4 | 28 | 2 2 0 |
| 26.2 | 43 | 0 3 1 |
| 27.3 | 54 | 1 0 2 |
| 28.4 | 41 | 2 2 1 |
| 31.4 | 43 | 1 2 2 |
| 40.8 | 26 | 0 5 1 |
| 46.0 | 28 | 4 2 1 |
| 46.3 | 28 | 1 3 3 |
| 46.6 | 31 | 3 3 2 |